Record 1
Simulated powder diffraction line list of ZrTe for CuKα, from a structure optimized by DFT (PBE).

Top 6 peaks for 10 to 90 degrees two-theta, most intense first:
2theta	d_spacing	I (rel.)
35.72	2.513	100
29.72	3.006	78
48.55	1.875	40
68.90	1.363	28
44.15	2.051	26
61.72	1.503	20

Crystal structure
```
data_ZrTe
_chemical_formula_sum 'Zr2 Te2'
_cell_length_a 3.7503
_cell_length_b 3.7503
_cell_length_c 7.9364
_cell_angle_alpha 90.00
_cell_angle_beta 90.00
_cell_angle_gamma 120.00
_space_group_name_H-M_alt 'P 1'
_space_group_IT_number 1
_space_group_name_Hall 'P 1'
loop_
_atom_site_label
_atom_site_fract_x
_atom_site_fract_y
_atom_site_fract_z
_atom_site_occupancy
Zr1 0.0000 0.0000 0.0000 1
Zr2 0.0000 0.0000 0.5000 1
Te1 0.3333 0.6667 0.2500 1
Te2 0.6667 0.3333 0.7500 1
```

***

Record 2
Simulated powder diffraction line list of Zr5Te4 for CuKα, from a structure optimized by DFT (PBE).

Top 6 peaks for 10 to 90 degrees two-theta, most intense first:
2theta	d_spacing	I (rel.)
33.87	2.646	100
29.50	3.028	47
41.41	2.181	46
36.92	2.434	41
34.97	2.566	25
67.11	1.395	22

Crystal structure
```
data_Zr5Te4
_chemical_formula_sum 'Zr5 Te4'
_cell_length_a 7.9375
_cell_length_b 7.9375
_cell_length_c 7.9375
_cell_angle_alpha 93.40
_cell_angle_beta 93.40
_cell_angle_gamma 151.80
_space_group_name_H-M_alt 'P 1'
_space_group_IT_number 1
_space_group_name_Hall 'P 1'
loop_
_atom_site_label
_atom_site_fract_x
_atom_site_fract_y
_atom_site_fract_z
_atom_site_occupancy
Zr1 0.0000 0.0000 0.0000 1
Zr2 0.3094 0.6299 0.9393 1
Zr3 0.3701 0.3094 0.6796 1
Zr4 0.6299 0.6906 0.3204 1
Zr5 0.6906 0.3701 0.0607 1
Te1 0.0536 0.7192 0.7728 1
Te2 0.2808 0.0536 0.3344 1
Te3 0.7192 0.9464 0.6656 1
Te4 0.9464 0.2808 0.2272 1
```

***

Record 3
Simulated powder diffraction line list of Zr5Te6 for CuKα, from a structure optimized by DFT (PBE).

Top 6 peaks for 10 to 90 degrees two-theta, most intense first:
2theta	d_spacing	I (rel.)
29.00	3.079	100
36.36	2.471	79
46.12	1.968	41
46.38	1.958	19
55.41	1.658	16
33.99	2.638	15

Crystal structure
```
data_Zr5Te6
_chemical_formula_sum 'Zr15 Te18'
_cell_length_a 11.8080
_cell_length_b 11.8080
_cell_length_c 7.1740
_cell_angle_alpha 90.00
_cell_angle_beta 90.00
_cell_angle_gamma 120.00
_space_group_name_H-M_alt 'P 1'
_space_group_IT_number 1
_space_group_name_Hall 'P 1'
loop_
_atom_site_label
_atom_site_fract_x
_atom_site_fract_y
_atom_site_fract_z
_atom_site_occupancy
Zr1 0.0000 0.0000 0.0000 1
Zr2 0.0000 0.2979 0.0000 1
Zr3 0.0000 0.3627 0.5000 1
Zr4 0.0000 0.6373 0.5000 1
Zr5 0.0000 0.7021 0.0000 1
Zr6 0.2979 0.0000 0.0000 1
Zr7 0.2979 0.2979 0.0000 1
Zr8 0.3333 0.6667 0.5114 1
Zr9 0.3627 0.0000 0.5000 1
Zr10 0.3627 0.3627 0.5000 1
Zr11 0.6373 0.0000 0.5000 1
Zr12 0.6373 0.6373 0.5000 1
Zr13 0.6667 0.3333 0.4886 1
Zr14 0.7021 0.0000 0.0000 1
Zr15 0.7021 0.7021 0.0000 1
Te1 0.1065 0.2131 0.7110 1
Te2 0.1065 0.8935 0.7110 1
Te3 0.1176 0.5588 0.7909 1
Te4 0.2131 0.1065 0.2890 1
Te5 0.2245 0.4490 0.2448 1
Te6 0.2245 0.7755 0.2448 1
Te7 0.4412 0.5588 0.7909 1
Te8 0.4412 0.8824 0.7909 1
Te9 0.4490 0.2245 0.7552 1
Te10 0.5510 0.7755 0.2448 1
Te11 0.5588 0.1176 0.2091 1
Te12 0.5588 0.4412 0.2091 1
Te13 0.7755 0.2245 0.7552 1
Te14 0.7755 0.5510 0.7552 1
Te15 0.7869 0.8935 0.7110 1
Te16 0.8824 0.4412 0.2091 1
Te17 0.8935 0.1065 0.2890 1
Te18 0.8935 0.7869 0.2890 1
```

***

Record 4
Simulated powder diffraction line list of ZrTe2 for CuKα, from a structure optimized by DFT (PBE).

Top 6 peaks for 10 to 90 degrees two-theta, most intense first:
2theta	d_spacing	I (rel.)
28.85	3.094	100
36.58	2.456	45
45.53	1.992	29
47.03	1.932	24
54.81	1.675	16
12.65	6.996	15

Crystal structure
```
data_ZrTe2
_chemical_formula_sum 'Zr1 Te2'
_cell_length_a 3.9842
_cell_length_b 3.9842
_cell_length_c 6.9956
_cell_angle_alpha 90.00
_cell_angle_beta 90.00
_cell_angle_gamma 120.00
_space_group_name_H-M_alt 'P 1'
_space_group_IT_number 1
_space_group_name_Hall 'P 1'
loop_
_atom_site_label
_atom_site_fract_x
_atom_site_fract_y
_atom_site_fract_z
_atom_site_occupancy
Zr1 0.0000 0.0000 0.0000 1
Te1 0.3333 0.6667 0.2567 1
Te2 0.6667 0.3333 0.7433 1
```

***

Record 5
Simulated powder diffraction line list of ZrTe for CuKα, from a structure optimized by DFT (PBE).

Top 6 peaks for 10 to 90 degrees two-theta, most intense first:
2theta	d_spacing	I (rel.)
29.28	3.050	100
36.10	2.488	92
45.54	1.992	53
28.14	3.171	49
35.16	2.553	48
36.90	2.436	39

Crystal structure
```
data_ZrTe
_chemical_formula_sum 'Zr4 Te4'
_cell_length_a 7.4510
_cell_length_b 3.8040
_cell_length_c 7.0097
_cell_angle_alpha 90.00
_cell_angle_beta 90.00
_cell_angle_gamma 90.00
_space_group_name_H-M_alt 'P 1'
_space_group_IT_number 1
_space_group_name_Hall 'P 1'
loop_
_atom_site_label
_atom_site_fract_x
_atom_site_fract_y
_atom_site_fract_z
_atom_site_occupancy
Zr1 0.0083 0.2500 0.1891 1
Zr2 0.4917 0.7500 0.6891 1
Zr3 0.5083 0.2500 0.3109 1
Zr4 0.9917 0.7500 0.8109 1
Te1 0.2090 0.2500 0.5733 1
Te2 0.2910 0.7500 0.0733 1
Te3 0.7090 0.2500 0.9267 1
Te4 0.7910 0.7500 0.4267 1
```

***

Record 6
Simulated powder diffraction line list of ZrTe for CuKα, from a structure optimized by DFT (PBE).

Top 6 peaks for 10 to 90 degrees two-theta, most intense first:
2theta	d_spacing	I (rel.)
35.42	2.535	100
29.71	3.007	36
48.75	1.868	32
68.07	1.377	23
27.57	3.235	20
61.69	1.504	19

Crystal structure
```
data_ZrTe
_chemical_formula_sum 'Zr2 Te2'
_cell_length_a 3.7359
_cell_length_b 3.7359
_cell_length_c 8.1557
_cell_angle_alpha 90.00
_cell_angle_beta 90.00
_cell_angle_gamma 120.00
_space_group_name_H-M_alt 'P 1'
_space_group_IT_number 1
_space_group_name_Hall 'P 1'
loop_
_atom_site_label
_atom_site_fract_x
_atom_site_fract_y
_atom_site_fract_z
_atom_site_occupancy
Zr1 0.3333 0.6667 0.2500 1
Zr2 0.6667 0.3333 0.7500 1
Te1 0.0000 0.0000 0.0000 1
Te2 0.0000 0.0000 0.5000 1
```